1.
Sr2ZrNpP4: theoretical powder diffractogram (CuKα), based on a PBE-relaxed structure.
Lines closer than 0.1° are merged.

Peak list (10 most intense, 10 to 80 degrees two-theta, by angle)
| d_spacing | two_theta | I (rel.) |
| --- | --- | --- |
| 6.890 | 12.85 | 32 |
| 3.444 | 25.87 | 38 |
| 3.306 | 26.97 | 52 |
| 3.292 | 27.08 | 26 |
| 2.893 | 30.91 | 100 |
| 2.881 | 31.04 | 49 |
| 2.075 | 43.61 | 54 |
| 2.008 | 45.15 | 35 |
| 1.735 | 52.76 | 19 |
| 1.653 | 55.59 | 23 |

Structural model:
a = 6.945 Å, b = 4.037 Å, c = 7.267 Å
α = 90.00°, β = 108.53°, γ = 90.00°
Sites, in units of the cell vectors:
Sr 0.000 0.000 0.000
Sr 0.500 0.500 0.000
Zr 0.000 0.500 0.500
Np 0.500 0.000 0.500
P 0.233 0.000 0.711
P 0.258 0.500 0.290
P 0.742 0.500 0.710
P 0.767 0.000 0.289

***

2.
MgBeIr2: theoretical powder diffractogram (CuKα), based on a PBE-relaxed structure.
Lines closer than 0.1° are merged.

Peak list (10 most intense, 10 to 80 degrees two-theta, by angle)
| d_spacing | two_theta | I (rel.) |
| --- | --- | --- |
| 3.740 | 23.79 | 100 |
| 2.719 | 32.94 | 18 |
| 2.690 | 33.30 | 16 |
| 2.597 | 34.53 | 34 |
| 2.200 | 41.03 | 57 |
| 2.184 | 41.34 | 26 |
| 2.156 | 41.90 | 26 |
| 2.133 | 42.37 | 55 |
| 1.897 | 47.97 | 25 |
| 1.869 | 48.73 | 45 |

Structural model:
a = 2.802 Å, b = 3.740 Å, c = 5.353 Å
α = 90.00°, β = 103.97°, γ = 90.00°
Sites, in units of the cell vectors:
Mg 0.000 0.000 0.000
Be 0.000 0.000 0.500
Ir 0.365 0.500 0.720
Ir 0.635 0.500 0.280

***

3.
Tb4NdHo5: theoretical powder diffractogram (CuKα), based on a PBE-relaxed structure.
Lines closer than 0.1° are merged.

Peak list (10 most intense, 10 to 80 degrees two-theta, by angle)
| d_spacing | two_theta | I (rel.) |
| --- | --- | --- |
| 3.025 | 29.53 | 35 |
| 2.872 | 31.14 | 47 |
| 2.842 | 31.48 | 100 |
| 2.599 | 34.51 | 84 |
| 2.344 | 38.40 | 14 |
| 1.787 | 51.13 | 36 |
| 1.710 | 53.60 | 20 |
| 1.553 | 59.54 | 20 |
| 1.517 | 61.08 | 42 |
| 1.513 | 61.29 | 15 |

Structural model:
a = 6.186 Å, b = 3.575 Å, c = 14.361 Å
α = 90.00°, β = 90.03°, γ = 90.00°
Sites, in units of the cell vectors:
Tb 0.167 0.000 0.296
Tb 0.333 0.500 0.703
Tb 0.667 0.500 0.297
Tb 0.833 0.000 0.704
Nd 0.000 0.500 0.500
Ho 0.167 0.000 0.902
Ho 0.334 0.500 0.098
Ho 0.500 0.000 0.500
Ho 0.666 0.500 0.902
Ho 0.833 0.000 0.098

***

4.
Tl2In2Br5: theoretical powder diffractogram (CuKα), based on a PBE-relaxed structure.
Lines closer than 0.1° are merged.

Peak list (10 most intense, 10 to 80 degrees two-theta, by angle)
| d_spacing | two_theta | I (rel.) |
| --- | --- | --- |
| 4.895 | 18.12 | 61 |
| 4.654 | 19.07 | 54 |
| 3.898 | 22.81 | 56 |
| 3.775 | 23.57 | 55 |
| 3.482 | 25.58 | 75 |
| 3.225 | 27.66 | 87 |
| 2.877 | 31.08 | 100 |
| 2.731 | 32.79 | 79 |
| 2.691 | 33.29 | 77 |
| 2.147 | 42.09 | 57 |

Structural model:
a = 8.445 Å, b = 8.445 Å, c = 9.308 Å
α = 123.26°, β = 123.26°, γ = 39.84°
Sites, in units of the cell vectors:
Tl 0.117 0.117 0.463
Tl 0.883 0.883 0.537
In 0.396 0.396 0.097
In 0.604 0.604 0.903
Br 0.127 0.127 0.904
Br 0.372 0.372 0.741
Br 0.500 0.500 0.500
Br 0.628 0.628 0.259
Br 0.873 0.873 0.096

***

5.
TlVBr2Cl: theoretical powder diffractogram (CuKα), based on a PBE-relaxed structure.
Lines closer than 0.1° are merged.

Peak list (10 most intense, 10 to 80 degrees two-theta, by angle)
| d_spacing | two_theta | I (rel.) |
| --- | --- | --- |
| 5.232 | 16.95 | 25 |
| 3.699 | 24.06 | 17 |
| 3.630 | 24.53 | 62 |
| 2.982 | 29.96 | 100 |
| 2.616 | 34.28 | 54 |
| 2.520 | 35.63 | 30 |
| 2.122 | 42.60 | 44 |
| 1.850 | 49.26 | 15 |
| 1.815 | 50.27 | 36 |
| 1.572 | 58.74 | 18 |

Structural model:
a = 7.264 Å, b = 7.264 Å, c = 7.264 Å
α = 118.77°, β = 118.77°, γ = 92.14°
Sites, in units of the cell vectors:
Tl 0.250 0.750 0.500
Tl 0.750 0.250 0.500
V 0.000 0.000 0.000
V 0.500 0.500 0.000
Br 0.207 0.707 0.913
Br 0.293 0.207 0.500
Br 0.707 0.793 0.500
Br 0.793 0.293 0.087
Cl 0.250 0.250 0.000
Cl 0.750 0.750 0.000

***

6.
La2AlRhPb: theoretical powder diffractogram (CuKα), based on a PBE-relaxed structure.
Lines closer than 0.1° are merged.

Peak list (10 most intense, 10 to 80 degrees two-theta, by angle)
| d_spacing | two_theta | I (rel.) |
| --- | --- | --- |
| 3.637 | 24.48 | 79 |
| 3.033 | 29.45 | 100 |
| 2.749 | 32.57 | 90 |
| 2.425 | 37.08 | 32 |
| 2.193 | 41.16 | 41 |
| 1.944 | 46.73 | 33 |
| 1.818 | 50.17 | 54 |
| 1.637 | 56.20 | 33 |
| 1.517 | 61.10 | 30 |
| 1.229 | 77.67 | 15 |

Structural model:
a = 5.498 Å, b = 5.498 Å, c = 4.849 Å
α = 90.00°, β = 90.00°, γ = 90.00°
Sites, in units of the cell vectors:
La 0.000 0.500 0.000
La 0.500 0.000 0.000
Al 0.000 0.000 0.500
Rh 0.000 0.000 0.000
Pb 0.500 0.500 0.500

***

7.
Ba3PaTl2O8: theoretical powder diffractogram (CuKα), based on a PBE-relaxed structure.
Lines closer than 0.1° are merged.

Peak list (10 most intense, 10 to 80 degrees two-theta, by angle)
| d_spacing | two_theta | I (rel.) |
| --- | --- | --- |
| 4.518 | 19.65 | 18 |
| 3.258 | 27.37 | 88 |
| 3.135 | 28.47 | 100 |
| 2.259 | 39.90 | 43 |
| 1.907 | 47.69 | 18 |
| 1.833 | 49.75 | 35 |
| 1.810 | 50.42 | 21 |
| 1.568 | 58.92 | 16 |
| 1.446 | 64.45 | 18 |
| 1.413 | 66.15 | 16 |

Structural model:
a = 6.270 Å, b = 6.270 Å, c = 8.146 Å
α = 90.00°, β = 90.00°, γ = 120.00°
Sites, in units of the cell vectors:
Ba 0.000 0.000 0.000
Ba 0.333 0.667 0.626
Ba 0.667 0.333 0.374
Pa 0.000 0.000 0.500
Tl 0.333 0.667 0.182
Tl 0.667 0.333 0.818
O 0.161 0.322 0.343
O 0.161 0.839 0.343
O 0.322 0.161 0.657
O 0.333 0.667 0.924
O 0.667 0.333 0.076
O 0.678 0.839 0.343
O 0.839 0.161 0.657
O 0.839 0.678 0.657

***

8.
YHo4Al2: theoretical powder diffractogram (CuKα), based on a PBE-relaxed structure.
Lines closer than 0.1° are merged.

Peak list (10 most intense, 10 to 80 degrees two-theta, by angle)
| d_spacing | two_theta | I (rel.) |
| --- | --- | --- |
| 7.783 | 11.37 | 28 |
| 3.587 | 24.82 | 25 |
| 3.257 | 27.38 | 34 |
| 2.689 | 33.32 | 90 |
| 2.625 | 34.16 | 100 |
| 2.487 | 36.12 | 12 |
| 1.878 | 48.46 | 32 |
| 1.563 | 59.10 | 20 |
| 1.528 | 60.62 | 32 |
| 1.515 | 61.16 | 19 |

Structural model:
a = 8.353 Å, b = 8.353 Å, c = 8.353 Å
α = 36.63°, β = 36.63°, γ = 36.63°
Sites, in units of the cell vectors:
Y 0.000 0.000 0.000
Ho 0.153 0.153 0.153
Ho 0.419 0.419 0.419
Ho 0.581 0.581 0.581
Ho 0.847 0.847 0.847
Al 0.282 0.282 0.282
Al 0.718 0.718 0.718